[1]
Diffraction record for SrEuYNbO6. The powder diffractogram is computed, not measured: it uses a cell relaxed with PBE and copper Kα.
No peak broadening, texture or thermal motion is included.

Principal peaks in the range 2θ from 10° to 90°, by intensity:
2theta, I/Imax
29.95, 100
53.17, 40
42.86, 32
86.25, 21
62.23, 20
70.58, 18
78.52, 6
18.21, 6
36.89, 6
35.27, 3

Cell and atoms:
Cell lengths 5.968, 5.968, 5.968 Å; angles 60.00, 60.00, 60.00 degrees
Sites, in units of the cell vectors:
Sr1 0.000 0.000 0.000
Eu1 0.500 0.500 0.500
Y1 0.250 0.250 0.250
Nb1 0.750 0.750 0.750
O1 0.512 0.512 0.988
O2 0.512 0.988 0.512
O3 0.512 0.988 0.988
O4 0.988 0.512 0.512
O5 0.988 0.512 0.988
O6 0.988 0.988 0.512

***

[2]
Diffraction record for Eu2NbZnO6. The powder diffractogram is computed, not measured: it uses a cell relaxed with PBE and copper Kα.
No peak broadening, texture or thermal motion is included.

Principal peaks in the range 2θ from 10° to 90°, by intensity:
2theta, I/Imax
31.46, 100
56.00, 39
45.08, 30
65.66, 18
74.62, 17
38.78, 11
83.21, 6
22.10, 6
78.94, 3
50.76, 3

Cell and atoms:
Cell lengths 5.688, 5.688, 5.688 Å; angles 60.00, 60.00, 60.00 degrees
Sites, in units of the cell vectors:
Eu1 0.250 0.250 0.250
Eu2 0.750 0.750 0.750
Nb1 0.000 0.000 0.000
Zn1 0.500 0.500 0.500
O1 0.247 0.247 0.753
O2 0.247 0.753 0.247
O3 0.247 0.753 0.753
O4 0.753 0.247 0.247
O5 0.753 0.247 0.753
O6 0.753 0.753 0.247

***

[3]
Diffraction record for SrNdEuSbO6. The powder diffractogram is computed, not measured: it uses a cell relaxed with PBE and copper Kα.
No peak broadening, texture or thermal motion is included.

Principal peaks in the range 2θ from 10° to 90°, by intensity:
2theta, I/Imax
29.83, 100
29.98, 100
42.82, 48
30.19, 48
29.57, 46
42.72, 24
52.64, 23
53.51, 22
53.31, 22
52.82, 19

Cell and atoms:
Cell lengths 5.920, 6.041, 8.447 Å; angles 90.12, 90.38, 90.13 degrees
Sites, in units of the cell vectors:
Sr1 0.012 0.454 0.249
Sr2 0.988 0.546 0.751
Nd1 0.000 0.000 0.500
Nd2 0.500 0.500 0.000
Eu1 0.487 0.953 0.251
Eu2 0.513 0.047 0.749
Sb1 0.000 0.000 0.000
Sb2 0.500 0.500 0.500
O1 0.102 0.969 0.770
O2 0.183 0.723 0.053
O3 0.223 0.689 0.451
O4 0.277 0.187 0.053
O5 0.320 0.221 0.446
O6 0.406 0.463 0.730
O7 0.594 0.537 0.270
O8 0.680 0.779 0.554
O9 0.723 0.813 0.947
O10 0.777 0.311 0.549
O11 0.817 0.277 0.947
O12 0.898 0.031 0.230

***

[4]
Diffraction record for SrNdEuSbO6. The powder diffractogram is computed, not measured: it uses a cell relaxed with PBE and copper Kα.
No peak broadening, texture or thermal motion is included.

Principal peaks in the range 2θ from 10° to 90°, by intensity:
2theta, I/Imax
29.51, 100
52.35, 41
42.22, 30
84.72, 22
61.24, 19
69.43, 18
77.19, 6
17.94, 4
34.75, 3
20.75, 2

Cell and atoms:
Cell lengths 6.054, 6.054, 6.054 Å; angles 60.00, 60.00, 60.00 degrees
Sites, in units of the cell vectors:
Sr1 0.000 0.000 0.000
Nd1 0.750 0.750 0.750
Eu1 0.500 0.500 0.500
Sb1 0.250 0.250 0.250
O1 0.017 0.017 0.483
O2 0.017 0.483 0.017
O3 0.017 0.483 0.483
O4 0.483 0.017 0.017
O5 0.483 0.017 0.483
O6 0.483 0.483 0.017

***

[5]
Diffraction record for SrNdEuSbO6. The powder diffractogram is computed, not measured: it uses a cell relaxed with PBE and copper Kα.
No peak broadening, texture or thermal motion is included.

Principal peaks in the range 2θ from 10° to 90°, by intensity:
2theta, I/Imax
29.70, 100
52.71, 44
42.50, 27
85.39, 23
69.93, 18
61.67, 16
77.78, 5
14.73, 3
39.64, 2
33.30, 2

Cell and atoms:
Cell lengths 8.504, 8.509, 8.510 Å; angles 90.00, 90.00, 90.00 degrees
Sites, in units of the cell vectors:
Sr1 0.250 0.250 0.250
Sr2 0.250 0.750 0.250
Sr3 0.750 0.250 0.750
Sr4 0.750 0.750 0.750
Nd1 0.000 0.000 0.000
Nd2 0.000 0.500 0.500
Nd3 0.500 0.000 0.500
Nd4 0.500 0.500 0.000
Eu1 0.250 0.250 0.750
Eu2 0.250 0.750 0.750
Eu3 0.750 0.250 0.250
Eu4 0.750 0.750 0.250
Sb1 0.000 0.000 0.500
Sb2 0.000 0.500 0.000
Sb3 0.500 0.000 0.000
Sb4 0.500 0.500 0.500
O1 0.034 0.231 0.457
O2 0.034 0.269 0.043
O3 0.044 0.036 0.731
O4 0.044 0.464 0.769
O5 0.231 0.543 0.035
O6 0.231 0.957 0.465
O7 0.269 0.543 0.465
O8 0.269 0.957 0.035
O9 0.456 0.036 0.769
O10 0.456 0.464 0.731
O11 0.466 0.231 0.043
O12 0.466 0.269 0.457
O13 0.534 0.731 0.543
O14 0.534 0.769 0.957
O15 0.544 0.536 0.269
O16 0.544 0.964 0.231
O17 0.731 0.043 0.965
O18 0.731 0.457 0.535
O19 0.769 0.043 0.535
O20 0.769 0.457 0.965
O21 0.956 0.536 0.231
O22 0.956 0.964 0.269
O23 0.966 0.731 0.957
O24 0.966 0.769 0.543

***

[6]
Diffraction record for NdEu2TaO6. The powder diffractogram is computed, not measured: it uses a cell relaxed with PBE and copper Kα.
No peak broadening, texture or thermal motion is included.

Principal peaks in the range 2θ from 10° to 90°, by intensity:
2theta, I/Imax
29.43, 100
52.20, 41
42.10, 28
84.45, 22
69.22, 18
61.06, 18
76.95, 6
17.90, 1
20.69, 1
36.25, 1

Cell and atoms:
Cell lengths 6.070, 6.070, 6.070 Å; angles 60.00, 60.00, 60.00 degrees
Sites, in units of the cell vectors:
Nd1 0.000 0.000 0.000
Eu1 0.250 0.250 0.250
Eu2 0.750 0.750 0.750
Ta1 0.500 0.500 0.500
O1 0.268 0.268 0.732
O2 0.268 0.732 0.268
O3 0.268 0.732 0.732
O4 0.732 0.268 0.268
O5 0.732 0.268 0.732
O6 0.732 0.732 0.268

***

[7]
Diffraction record for NdEuTi4O12. The powder diffractogram is computed, not measured: it uses a cell relaxed with PBE and copper Kα.
No peak broadening, texture or thermal motion is included.

Principal peaks in the range 2θ from 10° to 90°, by intensity:
2theta, I/Imax
18.38, 100
30.29, 60
30.10, 29
35.44, 20
35.83, 19
35.56, 19
47.47, 17
37.25, 16
42.99, 14
43.19, 13

Cell and atoms:
Cell lengths 8.416, 5.895, 5.895 Å; angles 89.43, 90.00, 90.00 degrees
Sites, in units of the cell vectors:
Nd1 0.000 0.000 0.000
Eu1 0.500 0.486 0.486
Ti1 0.251 0.495 0.990
Ti2 0.251 0.990 0.495
Ti3 0.749 0.495 0.990
Ti4 0.749 0.990 0.495
O1 0.000 0.017 0.459
O2 0.000 0.459 0.017
O3 0.220 0.772 0.772
O4 0.251 0.270 0.714
O5 0.251 0.714 0.270
O6 0.278 0.216 0.216
O7 0.500 0.522 0.962
O8 0.500 0.962 0.522
O9 0.722 0.216 0.216
O10 0.749 0.270 0.714
O11 0.749 0.714 0.270
O12 0.780 0.772 0.772

***

[8]
Diffraction record for Nd2EuS4. The powder diffractogram is computed, not measured: it uses a cell relaxed with PBE and copper Kα.
No peak broadening, texture or thermal motion is included.

Principal peaks in the range 2θ from 10° to 90°, by intensity:
2theta, I/Imax
25.26, 100
32.73, 62
38.98, 39
32.90, 31
46.98, 26
49.50, 26
66.66, 24
39.09, 18
81.82, 16
54.19, 16

Cell and atoms:
Cell lengths 7.481, 7.481, 7.481 Å; angles 109.31, 109.31, 109.79 degrees
Sites, in units of the cell vectors:
Nd1 0.002 0.125 0.377
Nd2 0.375 0.998 0.123
Nd3 0.748 0.625 0.623
Nd4 0.875 0.252 0.877
Eu1 0.250 0.750 0.500
Eu2 0.500 0.500 0.000
S1 0.120 0.020 0.750
S2 0.120 0.520 0.750
S3 0.270 0.370 0.250
S4 0.480 0.230 0.600
S5 0.630 0.880 0.400
S6 0.630 0.880 0.900
S7 0.770 0.370 0.250
S8 0.980 0.730 0.100

***

[9]
Diffraction record for EuNi5. The powder diffractogram is computed, not measured: it uses a cell relaxed with PBE and copper Kα.
No peak broadening, texture or thermal motion is included.

Principal peaks in the range 2θ from 10° to 90°, by intensity:
2theta, I/Imax
42.96, 100
30.88, 48
41.65, 36
35.87, 33
46.70, 24
69.35, 23
64.34, 19
76.02, 16
60.25, 14
61.38, 13

Cell and atoms:
Cell lengths 5.007, 5.007, 3.890 Å; angles 90.00, 90.00, 120.00 degrees
Sites, in units of the cell vectors:
Eu1 0.000 0.000 0.000
Ni1 0.000 0.500 0.500
Ni2 0.333 0.667 0.000
Ni3 0.500 0.000 0.500
Ni4 0.500 0.500 0.500
Ni5 0.667 0.333 0.000

***

[10]
Diffraction record for Eu2Ni17. The powder diffractogram is computed, not measured: it uses a cell relaxed with PBE and copper Kα.
No peak broadening, texture or thermal motion is included.

Principal peaks in the range 2θ from 10° to 90°, by intensity:
2theta, I/Imax
43.64, 100
43.28, 62
30.64, 53
44.44, 51
43.54, 50
41.56, 45
37.32, 40
43.41, 30
81.26, 29
47.15, 25

Cell and atoms:
Cell lengths 8.363, 8.363, 8.154 Å; angles 90.00, 90.00, 120.20 degrees
Sites, in units of the cell vectors:
Eu1 0.001 0.999 0.750
Eu2 0.333 0.667 0.750
Eu3 0.667 0.333 0.250
Eu4 0.999 0.001 0.250
Ni1 0.000 0.500 0.000
Ni2 0.000 0.500 0.500
Ni3 0.042 0.373 0.250
Ni4 0.043 0.669 0.250
Ni5 0.167 0.833 0.512
Ni6 0.167 0.833 0.988
Ni7 0.168 0.335 0.513
Ni8 0.168 0.335 0.987
Ni9 0.331 0.374 0.250
Ni10 0.331 0.957 0.250
Ni11 0.334 0.666 0.106
Ni12 0.334 0.666 0.394
Ni13 0.335 0.168 0.013
Ni14 0.335 0.168 0.487
Ni15 0.373 0.042 0.750
Ni16 0.374 0.331 0.750
Ni17 0.500 0.000 0.000
Ni18 0.500 0.000 0.500
Ni19 0.500 0.500 0.000
Ni20 0.500 0.500 0.500
Ni21 0.626 0.669 0.250
Ni22 0.627 0.958 0.250
Ni23 0.665 0.832 0.513
Ni24 0.665 0.832 0.987
Ni25 0.666 0.334 0.606
Ni26 0.666 0.334 0.894
Ni27 0.669 0.043 0.750
Ni28 0.669 0.626 0.750
Ni29 0.832 0.665 0.013
Ni30 0.832 0.665 0.487
Ni31 0.833 0.167 0.012
Ni32 0.833 0.167 0.488
Ni33 0.957 0.331 0.750
Ni34 0.958 0.627 0.750

***

[11]
Diffraction record for EuNi3. The powder diffractogram is computed, not measured: it uses a cell relaxed with PBE and copper Kα.
No peak broadening, texture or thermal motion is included.

Principal peaks in the range 2θ from 10° to 90°, by intensity:
2theta, I/Imax
40.17, 100
46.73, 48
82.24, 35
68.23, 29
22.87, 20
32.57, 17
86.77, 10
52.64, 9
58.12, 7
73.00, 5

Cell and atoms:
Cell lengths 3.888, 3.888, 3.888 Å; angles 90.00, 90.00, 90.00 degrees
Sites, in units of the cell vectors:
Eu1 0.000 0.000 0.000
Ni1 0.000 0.500 0.500
Ni2 0.500 0.000 0.500
Ni3 0.500 0.500 0.000